LaFe5H12: theoretical powder X-ray diffraction pattern (Cu Kα (weighted mean of Kα1 and Kα2)), based on a structure optimized by DFT (PBE).
No peak broadening, texture or thermal motion is included.

Main lines, by intensity (2θ = 10–90°):
(1 1 1), 2θ 37.9, d 2.375, intensity 100.0
(1 0 1), 2θ 27.7, d 3.220, intensity 43.8
(2 0 0), 2θ 36.1, d 2.488, intensity 35.7
(1 1 0), 2θ 31.1, d 2.873, intensity 32.6
(3 0 1), 2θ 59.9, d 1.544, intensity 24.6
(0 0 2), 2θ 42.8, d 2.112, intensity 20.6
(2 0 2), 2θ 57.2, d 1.610, intensity 19.5
(2 2 2), 2θ 80.9, d 1.188, intensity 18.1
(2 2 0), 2θ 64.9, d 1.436, intensity 17.9
(2 1 1), 2θ 53.3, d 1.718, intensity 14.0

Structural model:
Cell: 5.7455 5.7455 4.2239 Å, 90.00 90.00 120.00°
Space group P6/mmm (No. 191)
One atom of each set of equivalent atoms:
1 La 0.0000 0.0000 0.0000
2 Fe 0.0000 0.5000 0.5000
3 Fe 0.3333 0.6667 0.0000
4 H 0.2119 0.4239 0.2650

=====

LaFe5H2: theoretical powder X-ray diffraction pattern (Cu Kα (weighted mean of Kα1 and Kα2)), based on a structure optimized by DFT (PBE).
No peak broadening, texture or thermal motion is included.

Main lines, by intensity (2θ = 10–90°):
(1 3 1), 2θ 41.1, d 2.196, intensity 100.0
(0 2 1), 2θ 29.3, d 3.044, intensity 69.5
(2 0 1), 2θ 41.3, d 2.187, intensity 48.0
(0 0 2), 2θ 43.5, d 2.078, intensity 39.8
(2 2 0), 2θ 40.4, d 2.231, intensity 35.1
(1 3 0), 2θ 34.7, d 2.586, intensity 30.4
(3 3 1), 2θ 66.8, d 1.400, intensity 21.9
(2 2 2), 2θ 60.9, d 1.521, intensity 19.9
(2 6 2), 2θ 89.2, d 1.098, intensity 18.2
(0 4 0), 2θ 40.2, d 2.244, intensity 16.2

Structural model:
Cell: 5.143 8.976 4.157 Å, 90.00 90.00 90.00°
Space group Cmmm (No. 65)
One atom of each set of equivalent atoms:
1 La 0.000 0.000 0.000
2 Fe 0.000 0.336 0.000
3 Fe 0.000 0.500 0.500
4 Fe 0.250 0.250 0.500
5 H 0.000 0.132 0.500

=====

Copy entry 2 word for word.
LaFe5H2: theoretical powder X-ray diffraction pattern (Cu Kα (weighted mean of Kα1 and Kα2)), based on a structure optimized by DFT (PBE).
No peak broadening, texture or thermal motion is included.

Main lines, by intensity (2θ = 10–90°):
(1 3 1), 2θ 41.1, d 2.196, intensity 100.0
(0 2 1), 2θ 29.3, d 3.044, intensity 69.5
(2 0 1), 2θ 41.3, d 2.187, intensity 48.0
(0 0 2), 2θ 43.5, d 2.078, intensity 39.8
(2 2 0), 2θ 40.4, d 2.231, intensity 35.1
(1 3 0), 2θ 34.7, d 2.586, intensity 30.4
(3 3 1), 2θ 66.8, d 1.400, intensity 21.9
(2 2 2), 2θ 60.9, d 1.521, intensity 19.9
(2 6 2), 2θ 89.2, d 1.098, intensity 18.2
(0 4 0), 2θ 40.2, d 2.244, intensity 16.2

Structural model:
Cell: 5.143 8.976 4.157 Å, 90.00 90.00 90.00°
Space group Cmmm (No. 65)
One atom of each set of equivalent atoms:
1 La 0.000 0.000 0.000
2 Fe 0.000 0.336 0.000
3 Fe 0.000 0.500 0.500
4 Fe 0.250 0.250 0.500
5 H 0.000 0.132 0.500

=====

Q: What is the formula in the first record?
A: LaFe5H12

=====

Q: Which formula does entry 1 have?
A: LaFe5H12

=====

Q: Number 1 is which compound?
A: LaFe5H12